[1]
Starting from the PBE geometry in the Materials Project, the powder XRD pattern of Rb3Zr was computed for CuKα.
Lines closer than 0.1° are merged.

Lattice parameters (Å, degrees): 9.833 9.833 9.833 90.00 90.00 90.00
Space group Fm-3m (No. 225)
Symmetry-distinct sites (fractional):
Rb (0.000, 0.000, 0.000)
Rb (0.250, 0.250, 0.250)
Zr (0.000, 0.000, 0.500)

The 10 most intense peaks (15° ≤ 2θ ≤ 90°), in order of rising 2θ:
d 3.477, rel. 100
d 2.458, rel. 19
d 2.007, rel. 42
d 1.738, rel. 13
d 1.555, rel. 18
d 1.419, rel. 4
d 1.314, rel. 21
d 1.229, rel. 2
d 1.159, rel. 10
d 1.099, rel. 6

[2]
Starting from the PBE geometry in the Materials Project, the powder XRD pattern of Re was computed for CuKα.
Lines closer than 0.1° are merged.

Lattice parameters (Å, degrees): 2.7811 2.7811 4.4971 90.00 90.00 120.00
Space group P6_3/mmc (No. 194)
Symmetry-distinct sites (fractional):
Re (0.3333, 0.6667, 0.2500)

The 10 most intense peaks (15° ≤ 2θ ≤ 90°), in order of rising 2θ:
d 2.408, rel. 24
d 2.249, rel. 26
d 2.123, rel. 100
d 1.644, rel. 15
d 1.391, rel. 17
d 1.273, rel. 20
d 1.204, rel. 3
d 1.183, rel. 21
d 1.163, rel. 15
d 1.124, rel. 3

[3]
Starting from the PBE geometry in the Materials Project, the powder XRD pattern of Re was computed for CuKα.
Lines closer than 0.1° are merged.

Lattice parameters (Å, degrees): 3.122 3.122 3.122 90.00 90.00 90.00
Space group Im-3m (No. 229)
Symmetry-distinct sites (fractional):
Re (0.000, 0.000, 0.000)

The 4 most intense peaks (15° ≤ 2θ ≤ 90°), in order of rising 2θ:
d 2.208, rel. 100
d 1.561, rel. 17
d 1.275, rel. 35
d 1.104, rel. 12

[4]
Starting from the PBE geometry in the Materials Project, the powder XRD pattern of Re was computed for CuKα.
Lines closer than 0.1° are merged.

Lattice parameters (Å, degrees): 2.7850 2.7850 20.2049 90.00 90.00 120.00
Space group R-3m (No. 166, hexagonal axes)
Symmetry-distinct sites (fractional):
Re (0.0000, 0.0000, 0.0000)
Re (0.0000, 0.0000, 0.2223)

The 10 most intense peaks (15° ≤ 2θ ≤ 90°), in order of rising 2θ:
d 2.395, rel. 37
d 2.346, rel. 15
d 2.245, rel. 51
d 2.176, rel. 100
d 2.071, rel. 86
d 1.744, rel. 15
d 1.392, rel. 34
d 1.306, rel. 20
d 1.238, rel. 16
d 1.183, rel. 41

[5]
Starting from the PBE geometry in the Materials Project, the powder XRD pattern of Re was computed for CuKα.
Lines closer than 0.1° are merged.

Lattice parameters (Å, degrees): 3.925 3.925 3.925 90.00 90.00 90.00
Space group Fm-3m (No. 225)
Symmetry-distinct sites (fractional):
Re (0.000, 0.000, 0.000)

The 5 most intense peaks (15° ≤ 2θ ≤ 90°), in order of rising 2θ:
d 2.266, rel. 100
d 1.962, rel. 49
d 1.388, rel. 32
d 1.183, rel. 39
d 1.133, rel. 12

[6]
Starting from the PBE geometry in the Materials Project, the powder XRD pattern of Re was computed for CuKα.
Lines closer than 0.1° are merged.

Lattice parameters (Å, degrees): 2.7849 2.7849 8.9654 90.00 90.00 120.00
Space group P6_3/mmc (No. 194)
Symmetry-distinct sites (fractional):
Re (0.0000, 0.0000, 0.0000)
Re (0.3333, 0.6667, 0.2500)

The 10 most intense peaks (15° ≤ 2θ ≤ 90°), in order of rising 2θ:
d 2.412, rel. 8
d 2.329, rel. 44
d 2.241, rel. 35
d 2.124, rel. 100
d 1.877, rel. 23
d 1.439, rel. 10
d 1.392, rel. 23
d 1.270, rel. 19
d 1.183, rel. 28
d 1.165, rel. 15

[7]
Starting from the PBE geometry in the Materials Project, the powder XRD pattern of Re3Rh was computed for CuKα.
Lines closer than 0.1° are merged.

Lattice parameters (Å, degrees): 2.7789 2.7789 8.8656 90.00 90.00 120.00
Space group P-6m2 (No. 187)
Symmetry-distinct sites (fractional):
Re (0.0000, 0.0000, 0.0000)
Re (0.6667, 0.3333, 0.2510)
Rh (0.0000, 0.0000, 0.5000)

The 10 most intense peaks (15° ≤ 2θ ≤ 90°), in order of rising 2θ:
d 2.407, rel. 25
d 2.216, rel. 25
d 2.115, rel. 100
d 1.630, rel. 15
d 1.389, rel. 17
d 1.259, rel. 19
d 1.203, rel. 3
d 1.177, rel. 20
d 1.161, rel. 15
d 1.108, rel. 3

[8]
Starting from the PBE geometry in the Materials Project, the powder XRD pattern of Re3Rh was computed for CuKα.
Lines closer than 0.1° are merged.

Lattice parameters (Å, degrees): 5.5774 5.5774 4.3953 90.00 90.00 120.00
Space group P6_3/mmc (No. 194)
Symmetry-distinct sites (fractional):
Re (0.1606, 0.3212, 0.2500)
Rh (0.3333, 0.6667, 0.7500)

The 10 most intense peaks (15° ≤ 2θ ≤ 90°), in order of rising 2θ:
d 4.830, rel. 5
d 2.415, rel. 24
d 2.198, rel. 25
d 2.117, rel. 100
d 1.625, rel. 15
d 1.394, rel. 17
d 1.253, rel. 19
d 1.177, rel. 20
d 1.164, rel. 14
d 1.099, rel. 3